This entry pairs a crystal structure of KMg2AlFeSi3H2O12 with its calculated powder XRD pattern. Radiation: Cu Kα. Structure: a PBE+U-relaxed structure.
No peak broadening, texture or thermal motion is included.

Cell and atoms:
Lattice parameters (Å, degrees): 5.375 5.379 10.722 79.99 85.44 60.03
Sites, in units of the cell vectors:
1 K 0.000 0.000 0.000
2 Mg 0.330 0.827 0.531
3 Mg 0.658 0.163 0.532
4 Al 0.330 0.406 0.792
5 Fe 0.999 0.501 0.532
6 Si 0.332 0.251 0.264
7 Si 0.660 0.739 0.796
8 Si 0.662 0.588 0.264
9 H 0.989 0.895 0.334
10 H 0.990 0.111 0.715
11 O 0.337 0.463 0.626
12 O 0.342 0.188 0.417
13 O 0.431 0.630 0.852
14 O 0.494 0.941 0.204
15 O 0.497 0.439 0.207
16 O 0.575 0.038 0.852
17 O 0.650 0.802 0.639
18 O 0.657 0.540 0.417
19 O 0.983 0.486 0.848
20 O 0.990 0.884 0.425
21 O 0.995 0.125 0.623
22 O 0.996 0.443 0.208

The 8 most intense peaks (10° ≤ 2θ ≤ 90°), by intensity:
(0 0 3), 2θ = 25.35°, rel. 100.0
(1 2 0), 2θ = 33.85°, rel. 70.5
(3 3 1), 2θ = 59.55°, rel. 54.8
(1 2 -1), 2θ = 36.37°, rel. 46.3
(1 2 -2), 2θ = 40.67°, rel. 42.9
(0 1 -1), 2θ = 22.20°, rel. 42.5
(1 0 2), 2θ = 25.62°, rel. 38.3
(1 1 0), 2θ = 19.28°, rel. 35.5